Diffraction record for Tb2Zr3Si4. The powder diffraction line list is calculated, not measured: it uses the PBE geometry in Alexandria and Cu Ka.

```
data_Tb2Zr3Si4
_cell_length_a 7.3390
_cell_length_b 7.3457
_cell_length_c 7.1329
_cell_angle_alpha 90.00
_cell_angle_beta 108.08
_cell_angle_gamma 90.00
_symmetry_space_group_name_H-M 'P 1 21/c 1'
_symmetry_Int_Tables_number 14
_symmetry_space_group_name_Hall '-P 2ybc'
loop_
_atom_site_label
_atom_site_type_symbol
_atom_site_fract_x
_atom_site_fract_y
_atom_site_fract_z
Tb1 Tb 0.1925 0.1725 0.0745
Zr1 Zr 0.2522 0.6806 0.2493
Zr2 Zr 0.5000 0.0000 0.5000
Si1 Si 0.0814 0.5323 0.8714
Si2 Si 0.4922 0.1222 0.8725
```

Top 8 peaks for 2θ from 5° to 70°, most intense first:
hkl 1 1 2, 2θ 35.0, intensity 100.0
hkl 0 3 1, 2θ 39.1, intensity 33.9
hkl 2 2 0, 2θ 35.5, intensity 33.7
hkl 1 1 -3, 2θ 39.9, intensity 28.2
hkl 2 1 -2, 2θ 32.9, intensity 27.3
hkl 1 2 1, 2θ 32.2, intensity 26.9
hkl 0 2 1, 2θ 27.6, intensity 23.5
hkl 1 2 -2, 2θ 35.4, intensity 20.9


Diffraction record for Si6Tc7. The powder diffraction line list is calculated, not measured: it uses the PBE geometry in Alexandria and Cu Ka.

```
data_Si6Tc7
_cell_length_a 5.1590
_cell_length_b 5.1590
_cell_length_c 25.7171
_cell_angle_alpha 90.00
_cell_angle_beta 90.00
_cell_angle_gamma 120.00
_symmetry_space_group_name_H-M 'R -3 m'
_symmetry_Int_Tables_number 166
_symmetry_space_group_name_Hall '-R 3 2"'
loop_
_atom_site_label
_atom_site_type_symbol
_atom_site_fract_x
_atom_site_fract_y
_atom_site_fract_z
Si1 Si 0.0000 0.0000 0.0487
Si2 Si 0.0000 0.0000 0.1689
Si3 Si 0.0000 0.0000 0.3349
Tc1 Tc 0.0000 0.0000 0.5000
Tc2 Tc 0.0046 0.5023 0.9201
```

Top 8 peaks for 2θ from 5° to 70°, most intense first:
hkl 1 1 6, 2θ 40.8, intensity 100.0
hkl 0 2 7, 2θ 47.6, intensity 98.7
hkl 0 0 6, 2θ 20.7, intensity 97.9
hkl 1 0 1, 2θ 20.2, intensity 93.6
hkl 2 0 5, 2θ 44.2, intensity 84.1
hkl 0 2 1, 2θ 40.5, intensity 76.8
hkl 0 0 12, 2θ 42.2, intensity 53.5
hkl 2 0 2, 2θ 41.0, intensity 53.4


What did the second record say?
Diffraction record for Si6Tc7. The powder diffraction line list is calculated, not measured: it uses the PBE geometry in Alexandria and Cu Ka.

```
data_Si6Tc7
_cell_length_a 5.1590
_cell_length_b 5.1590
_cell_length_c 25.7171
_cell_angle_alpha 90.00
_cell_angle_beta 90.00
_cell_angle_gamma 120.00
_symmetry_space_group_name_H-M 'R -3 m'
_symmetry_Int_Tables_number 166
_symmetry_space_group_name_Hall '-R 3 2"'
loop_
_atom_site_label
_atom_site_type_symbol
_atom_site_fract_x
_atom_site_fract_y
_atom_site_fract_z
Si1 Si 0.0000 0.0000 0.0487
Si2 Si 0.0000 0.0000 0.1689
Si3 Si 0.0000 0.0000 0.3349
Tc1 Tc 0.0000 0.0000 0.5000
Tc2 Tc 0.0046 0.5023 0.9201
```

Top 8 peaks for 2θ from 5° to 70°, most intense first:
hkl 1 1 6, 2θ 40.8, intensity 100.0
hkl 0 2 7, 2θ 47.6, intensity 98.7
hkl 0 0 6, 2θ 20.7, intensity 97.9
hkl 1 0 1, 2θ 20.2, intensity 93.6
hkl 2 0 5, 2θ 44.2, intensity 84.1
hkl 0 2 1, 2θ 40.5, intensity 76.8
hkl 0 0 12, 2θ 42.2, intensity 53.5
hkl 2 0 2, 2θ 41.0, intensity 53.4


Please write out number 1 again, unchanged.
Diffraction record for Tb2Zr3Si4. The powder diffraction line list is calculated, not measured: it uses the PBE geometry in Alexandria and Cu Ka.

```
data_Tb2Zr3Si4
_cell_length_a 7.3390
_cell_length_b 7.3457
_cell_length_c 7.1329
_cell_angle_alpha 90.00
_cell_angle_beta 108.08
_cell_angle_gamma 90.00
_symmetry_space_group_name_H-M 'P 1 21/c 1'
_symmetry_Int_Tables_number 14
_symmetry_space_group_name_Hall '-P 2ybc'
loop_
_atom_site_label
_atom_site_type_symbol
_atom_site_fract_x
_atom_site_fract_y
_atom_site_fract_z
Tb1 Tb 0.1925 0.1725 0.0745
Zr1 Zr 0.2522 0.6806 0.2493
Zr2 Zr 0.5000 0.0000 0.5000
Si1 Si 0.0814 0.5323 0.8714
Si2 Si 0.4922 0.1222 0.8725
```

Top 8 peaks for 2θ from 5° to 70°, most intense first:
hkl 1 1 2, 2θ 35.0, intensity 100.0
hkl 0 3 1, 2θ 39.1, intensity 33.9
hkl 2 2 0, 2θ 35.5, intensity 33.7
hkl 1 1 -3, 2θ 39.9, intensity 28.2
hkl 2 1 -2, 2θ 32.9, intensity 27.3
hkl 1 2 1, 2θ 32.2, intensity 26.9
hkl 0 2 1, 2θ 27.6, intensity 23.5
hkl 1 2 -2, 2θ 35.4, intensity 20.9


What is the formula in the first record?
Tb2Zr3Si4